Entry 1:
Calculated X-ray powder pattern
Compound: Al4Zn5Ga
Radiation: CuKα
Structure: DFT lattice parameters and positions (GGA-PBE)

The 8 most intense peaks (2θ from 5° to 70°), in order of rising 2θ:
| 2θ/deg | I (rel.) |
| --- | --- |
| 22.7 | 44 |
| 29.0 | 39 |
| 35.3 | 18 |
| 38.8 | 30 |
| 40.5 | 23 |
| 43.4 | 100 |
| 45.2 | 12 |
| 45.4 | 27 |

Structural model:
```
Al4Zn5Ga
1.0
8.210 0.000 0.000
0.000 9.287 0.000
0.000 0.000 4.451
Al Zn Ga
8 10 2
direct
0.074 0.250 0.128
0.250 0.584 0.247
0.250 0.916 0.247
0.426 0.250 0.128
0.574 0.750 0.872
0.750 0.084 0.753
0.750 0.416 0.753
0.926 0.750 0.872
0.080 0.017 0.746
0.080 0.483 0.746
0.250 0.250 0.616
0.420 0.017 0.746
0.420 0.483 0.746
0.580 0.517 0.254
0.580 0.983 0.254
0.750 0.750 0.384
0.920 0.517 0.254
0.920 0.983 0.254
0.250 0.750 0.734
0.750 0.250 0.266
```


Entry 2:
Calculated X-ray powder pattern
Compound: Rb3PmSm2Te6
Radiation: CuKα
Structure: DFT lattice parameters and positions (GGA-PBE)

The 8 most intense peaks (2θ from 5° to 70°), in order of rising 2θ:
| 2θ/deg | I (rel.) |
| --- | --- |
| 10.3 | 23 |
| 26.3 | 100 |
| 33.1 | 12 |
| 35.9 | 34 |
| 39.1 | 37 |
| 47.7 | 19 |
| 58.9 | 11 |
| 63.3 | 17 |

Structural model:
```
Rb3PmSm2Te6
1.0
3.992 -6.914 0.000
3.992 6.914 0.000
-2.660 0.000 8.569
Rb Pm Sm Te
3 1 2 6
direct
0.000 0.000 0.000
0.333 0.667 0.000
0.667 0.333 0.000
0.500 0.500 0.500
0.167 0.833 0.500
0.833 0.167 0.500
0.098 0.432 0.297
0.233 0.233 0.703
0.432 0.098 0.297
0.568 0.902 0.703
0.767 0.767 0.297
0.902 0.568 0.703
```


Entry 3:
Calculated X-ray powder pattern
Compound: Hf3NiAs2
Radiation: CuKα
Structure: DFT lattice parameters and positions (GGA-PBE)

The 8 most intense peaks (2θ from 5° to 70°), in order of rising 2θ:
| 2θ/deg | I (rel.) |
| --- | --- |
| 30.2 | 30 |
| 30.3 | 37 |
| 33.8 | 38 |
| 35.1 | 100 |
| 35.7 | 29 |
| 38.7 | 61 |
| 42.2 | 28 |
| 48.6 | 41 |

Structural model:
```
Hf3NiAs2
1.0
10.772 0.000 0.000
0.000 3.749 0.000
0.000 0.000 10.487
Hf Ni As
12 4 8
direct
0.049 0.250 0.118
0.122 0.750 0.563
0.217 0.250 0.787
0.283 0.750 0.287
0.378 0.250 0.063
0.451 0.750 0.618
0.549 0.250 0.382
0.622 0.750 0.937
0.717 0.250 0.713
0.783 0.750 0.213
0.878 0.250 0.437
0.951 0.750 0.882
0.127 0.250 0.377
0.373 0.750 0.877
0.627 0.250 0.123
0.873 0.750 0.623
0.019 0.750 0.308
0.190 0.750 0.999
0.310 0.250 0.499
0.481 0.250 0.808
0.519 0.750 0.192
0.690 0.750 0.501
0.810 0.250 0.001
0.981 0.250 0.692
```


Entry 4:
Calculated X-ray powder pattern
Compound: Ho5Tm7
Radiation: CuKα
Structure: DFT lattice parameters and positions (GGA-PBE)

The 8 most intense peaks (2θ from 5° to 70°), in order of rising 2θ:
| 2θ/deg | I (rel.) |
| --- | --- |
| 30.5 | 43 |
| 31.6 | 35 |
| 33.5 | 100 |
| 38.0 | 24 |
| 52.1 | 26 |
| 57.5 | 22 |
| 62.2 | 30 |
| 63.4 | 16 |

Structural model:
```
Ho5Tm7
1.0
9.119 -1.754 0.000
9.119 1.754 0.000
-6.082 0.000 11.329
Ho Tm
5 7
direct
0.000 0.000 0.000
0.166 0.166 0.499
0.306 0.306 0.250
0.694 0.694 0.750
0.834 0.834 0.501
0.028 0.028 0.750
0.334 0.334 0.001
0.361 0.361 0.750
0.500 0.500 0.500
0.639 0.639 0.250
0.666 0.666 0.999
0.972 0.972 0.250
```


Entry 5:
Calculated X-ray powder pattern
Compound: Tm2Ag3Hg2
Radiation: CuKα
Structure: DFT lattice parameters and positions (GGA-PBE)

The 8 most intense peaks (2θ from 5° to 70°), in order of rising 2θ:
| 2θ/deg | I (rel.) |
| --- | --- |
| 8.7 | 33 |
| 33.8 | 88 |
| 36.0 | 32 |
| 36.6 | 100 |
| 38.0 | 23 |
| 39.4 | 42 |
| 44.9 | 24 |
| 68.4 | 32 |

Structural model:
```
Tm2Ag3Hg2
1.0
4.570 0.000 0.000
0.000 20.409 0.000
0.000 0.000 3.304
Tm Ag Hg
4 6 4
direct
0.000 0.146 0.000
0.000 0.854 0.000
0.500 0.354 0.000
0.500 0.646 0.000
0.000 0.000 0.000
0.000 0.433 0.500
0.000 0.567 0.500
0.500 0.067 0.500
0.500 0.500 0.000
0.500 0.933 0.500
0.000 0.292 0.500
0.000 0.708 0.500
0.500 0.208 0.500
0.500 0.792 0.500
```


Entry 6:
Calculated X-ray powder pattern
Compound: Mg16TaAl12
Radiation: CuKα
Structure: DFT lattice parameters and positions (GGA-PBE)

The 8 most intense peaks (2θ from 5° to 70°), in order of rising 2θ:
| 2θ/deg | I (rel.) |
| --- | --- |
| 12.0 | 61 |
| 20.8 | 25 |
| 32.1 | 25 |
| 36.5 | 100 |
| 40.5 | 21 |
| 42.4 | 18 |
| 63.0 | 14 |
| 65.8 | 29 |

Structural model:
```
Mg16TaAl12
1.0
-5.218 5.218 5.218
5.218 -5.218 5.218
5.218 5.218 -5.218
Mg Ta Al
16 1 12
direct
0.000 0.000 0.343
0.000 0.317 0.603
0.000 0.343 0.000
0.000 0.603 0.317
0.286 0.683 0.683
0.317 0.000 0.603
0.317 0.603 0.000
0.343 0.000 0.000
0.397 0.397 0.714
0.397 0.714 0.397
0.603 0.000 0.317
0.603 0.317 0.000
0.657 0.657 0.657
0.683 0.286 0.683
0.683 0.683 0.286
0.714 0.397 0.397
0.000 0.000 0.000
0.000 0.638 0.816
0.000 0.816 0.638
0.178 0.362 0.362
0.184 0.184 0.822
0.184 0.822 0.184
0.362 0.178 0.362
0.362 0.362 0.178
0.638 0.000 0.816
0.638 0.816 0.000
0.816 0.000 0.638
0.816 0.638 0.000
0.822 0.184 0.184
```